Record 1
For Te2MoW3Se6, a DFT-relaxed cell (PBE, the Materials Project) gives the computed PXRD pattern in this record (CuKα).

Cell and atoms:
```
Te2MoW3Se6
1.0
3.3785 0.0000 0.0000
-1.6893 2.9259 0.0000
0.0000 0.0000 38.5310
Te Mo W Se
2 1 3 6
Cartesian
0.0000 0.0000 0.0000
0.0000 0.0000 3.7594
0.0000 1.9506 1.8792
0.0000 0.0000 9.1187
0.0000 0.0000 33.1703
0.0000 1.9506 16.3566
0.0000 0.0000 14.6944
0.0000 0.0000 18.0190
0.0000 1.9506 7.4567
0.0000 1.9506 10.7802
0.0000 1.9506 31.5086
0.0000 1.9506 34.8330
```

Top 10 peaks for 10° ≤ 2θ ≤ 80°, in order of rising 2θ:
| h k l | d/Å | 2theta | intensity |
| --- | --- | --- | --- |
| 0 0 5 | 7.706 | 11.48 | 100 |
| 0 0 6 | 6.422 | 13.79 | 15 |
| 1 0 0 | 2.924 | 30.57 | 41 |
| 1 0 5 | 2.735 | 32.74 | 14 |
| 1 0 8 | 2.501 | 35.91 | 79 |
| 0 1 13 | 2.082 | 43.46 | 50 |
| 1 0 14 | 2.005 | 45.23 | 15 |
| 1 1 0 | 1.689 | 54.31 | 29 |
| 0 2 8 | 1.400 | 66.84 | 13 |
| 1 1 21 | 1.243 | 76.68 | 13 |

Record 2
For EuCuSn2, a DFT-relaxed cell (PBE, the Materials Project) gives the computed PXRD pattern in this record (CuKα).

Cell and atoms:
```
EuCuSn2
1.0
4.5012 0.0000 0.0000
0.0000 19.3258 0.0000
0.0000 0.0000 4.5862
Eu Cu Sn
4 4 8
Cartesian
0.0000 2.0909 1.1466
0.0000 17.2349 3.4397
2.2506 7.5720 3.4397
2.2506 11.7538 1.1466
0.0000 6.2858 1.1466
0.0000 13.0400 3.4397
2.2506 3.3771 3.4397
2.2506 15.9487 1.1466
0.0000 4.8573 3.4397
0.0000 8.8306 1.1466
0.0000 10.4952 3.4397
0.0000 14.4685 1.1466
2.2506 0.8323 3.4397
2.2506 4.8056 1.1466
2.2506 14.5202 3.4397
2.2506 18.4935 1.1466
```

Top 10 peaks for 10° ≤ 2θ ≤ 80°, in order of rising 2θ:
| h k l | d/Å | 2theta | intensity |
| --- | --- | --- | --- |
| 1 5 0 | 2.932 | 30.48 | 24 |
| 1 3 1 | 2.875 | 31.11 | 100 |
| 0 6 1 | 2.636 | 34.01 | 24 |
| 0 0 2 | 2.293 | 39.29 | 26 |
| 2 0 0 | 2.251 | 40.06 | 24 |
| 0 8 1 | 2.137 | 42.29 | 14 |
| 1 9 0 | 1.938 | 46.88 | 13 |
| 2 6 1 | 1.712 | 53.54 | 13 |
| 2 0 2 | 1.606 | 57.36 | 17 |
| 1 3 3 | 1.412 | 66.17 | 12 |

Record 3
For TbAlCu2, a DFT-relaxed cell (PBE, the Materials Project) gives the computed PXRD pattern in this record (CuKα).

Cell and atoms:
```
TbAlCu2
1.0
6.4655 0.0000 0.0000
0.0000 6.4655 0.0000
0.0000 0.0000 6.4655
Tb Al Cu
4 4 8
Cartesian
0.0000 0.0000 0.0000
0.0000 3.2328 3.2328
3.2328 0.0000 3.2328
3.2328 3.2328 0.0000
0.0000 0.0000 3.2328
0.0000 3.2328 0.0000
3.2328 0.0000 0.0000
3.2328 3.2328 3.2328
1.6164 1.6164 1.6164
1.6164 1.6164 4.8491
1.6164 4.8491 1.6164
1.6164 4.8491 4.8491
4.8491 1.6164 1.6164
4.8491 1.6164 4.8491
4.8491 4.8491 1.6164
4.8491 4.8491 4.8491
```

Top 10 peaks for 10° ≤ 2θ ≤ 80°, in order of rising 2θ:
| h k l | d/Å | 2theta | intensity |
| --- | --- | --- | --- |
| 1 1 1 | 3.733 | 23.84 | 40 |
| 2 0 0 | 3.233 | 27.59 | 3 |
| 2 2 0 | 2.286 | 39.42 | 100 |
| 3 1 1 | 1.949 | 46.59 | 20 |
| 2 2 2 | 1.866 | 48.79 | 1 |
| 4 0 0 | 1.616 | 56.97 | 17 |
| 3 3 1 | 1.483 | 62.63 | 8 |
| 4 2 0 | 1.446 | 64.45 | 1 |
| 4 2 2 | 1.320 | 71.48 | 33 |
| 5 1 1 | 1.244 | 76.57 | 6 |

Record 4
For Sr12Sn4N3, a DFT-relaxed cell (PBE, the Materials Project) gives the computed PXRD pattern in this record (CuKα).

Cell and atoms:
```
Sr12Sn4N3
1.0
5.2889 0.0000 0.0000
0.0000 5.2889 0.0000
0.0000 0.0000 21.0789
Sr Sn N
12 4 3
Cartesian
0.0000 0.0000 2.6108
0.0000 0.0000 7.7166
0.0000 0.0000 13.3622
0.0000 0.0000 18.4680
0.0000 2.6445 0.0000
0.0000 2.6445 5.2357
0.0000 2.6445 10.5394
0.0000 2.6445 15.8432
2.6445 0.0000 0.0000
2.6445 0.0000 5.2357
2.6445 0.0000 10.5394
2.6445 0.0000 15.8432
2.6445 2.6445 2.6461
2.6445 2.6445 8.0397
2.6445 2.6445 13.0392
2.6445 2.6445 18.4327
0.0000 0.0000 0.0000
0.0000 0.0000 5.3275
0.0000 0.0000 15.7514
```

Top 10 peaks for 10° ≤ 2θ ≤ 80°, in order of rising 2θ:
| h k l | d/Å | 2theta | intensity |
| --- | --- | --- | --- |
| 1 1 4 | 3.050 | 29.28 | 100 |
| 2 0 0 | 2.644 | 33.90 | 38 |
| 0 0 8 | 2.635 | 34.03 | 18 |
| 2 2 0 | 1.868 | 48.76 | 40 |
| 3 1 4 | 1.594 | 57.84 | 30 |
| 1 1 12 | 1.590 | 58.01 | 14 |
| 2 2 8 | 1.525 | 60.74 | 13 |
| 4 0 0 | 1.322 | 71.33 | 4 |
| 3 3 4 | 1.213 | 78.91 | 6 |
| 3 1 12 | 1.211 | 79.06 | 11 |